(1)
Simulated X-ray powder pattern of MnAl for Cu Kα, 1.54184 Å, from a DFT-relaxed cell (PBE, the Materials Project).
Peak positions follow from Bragg's law for the DFT cell and can differ from measured ones.

Top 6 peaks for 10° ≤ 2θ ≤ 80°, by angle:
30.3°, d = 2.948 Å, intensity 17, (1 0 0)
43.4°, d = 2.084 Å, intensity 100, (1 1 0)
53.9°, d = 1.702 Å, intensity 4, (1 1 1)
63.1°, d = 1.474 Å, intensity 15, (2 0 0)
71.6°, d = 1.318 Å, intensity 4, (2 1 0)
79.7°, d = 1.203 Å, intensity 30, (2 1 1)

Crystal structure
abc: 2.9479 2.9479 2.9479
angles: 90.00 90.00 90.00
Space group Pm-3m (No. 221)
One atom of each set of equivalent atoms:
Mn: 0.0000 0.0000 0.0000 [1 per cell]
Al: 0.5000 0.5000 0.5000 [1 per cell]

(2)
Simulated X-ray powder pattern of Mn3AlN for Cu Kα, 1.54184 Å, from a DFT-relaxed cell (PBE, the Materials Project).
Peak positions follow from Bragg's law for the DFT cell and can differ from measured ones.

Top 8 peaks for 10° ≤ 2θ ≤ 80°, by angle:
23.6°, d = 3.770 Å, intensity 20, (1 0 0)
33.6°, d = 2.666 Å, intensity 2, (1 1 0)
41.5°, d = 2.176 Å, intensity 100, (1 1 1)
48.3°, d = 1.885 Å, intensity 60, (2 0 0)
54.4°, d = 1.686 Å, intensity 6, (2 1 0)
60.1°, d = 1.539 Å, intensity 1, (2 1 1)
70.7°, d = 1.333 Å, intensity 34, (2 2 0)
75.7°, d = 1.257 Å, intensity 2, (3 0 0)

Crystal structure
abc: 3.7696 3.7696 3.7696
angles: 90.00 90.00 90.00
Space group Pm-3m (No. 221)
One atom of each set of equivalent atoms:
Mn: 0.0000 0.0000 0.5000 [3 per cell]
Al: 0.5000 0.5000 0.5000 [1 per cell]
N: 0.0000 0.0000 0.0000 [1 per cell]

(3)
Simulated X-ray powder pattern of Mn3Al3N5 for Cu Kα, 1.54184 Å, from a DFT-relaxed cell (PBE, the Materials Project).
Peak positions follow from Bragg's law for the DFT cell and can differ from measured ones.

Top 8 peaks for 10° ≤ 2θ ≤ 80°, by angle:
16.6°, d = 5.329 Å, intensity 46, (1 0 0)
32.3°, d = 2.769 Å, intensity 52, (0 2 0)
34.5°, d = 2.603 Å, intensity 100, (1 0 2)
35.2°, d = 2.549 Å, intensity 49, (-2 1 1)
36.2°, d = 2.480 Å, intensity 89, (1 2 -1)
38.6°, d = 2.331 Å, intensity 95, (0 2 -3)
53.2°, d = 1.723 Å, intensity 41, (3 -1 1)
54.9°, d = 1.672 Å, intensity 49, (3 1 -2)

Crystal structure
abc: 5.5973 6.2379 7.7425
angles: 113.11 99.49 99.92
Space group P-1 (No. 2)
One atom of each set of equivalent atoms:
Mn: 0.0774 0.1127 0.2067 [2 per cell]
Mn: 0.2331 0.6986 0.6420 [2 per cell]
Mn: 0.2430 0.3396 0.0531 [2 per cell]
Al: 0.0232 0.3293 0.7208 [2 per cell]
Al: 0.3534 0.1424 0.5551 [2 per cell]
Al: 0.4087 0.8331 0.0843 [2 per cell]
N: 0.0910 0.6577 0.8933 [2 per cell]
N: 0.1481 0.3303 0.5042 [2 per cell]
N: 0.2254 0.1166 0.7700 [2 per cell]
N: 0.3102 0.8294 0.3404 [2 per cell]
N: 0.4292 0.1754 0.1680 [2 per cell]

(4)
Simulated X-ray powder pattern of MnAlN2 for Cu Kα, 1.54184 Å, from a DFT-relaxed cell (PBE, the Materials Project).
Peak positions follow from Bragg's law for the DFT cell and can differ from measured ones.

Top 8 peaks for 10° ≤ 2θ ≤ 80°, by angle:
22.1°, d = 4.015 Å, intensity 15, (1 0 1)
34.6°, d = 2.591 Å, intensity 100, (1 1 2)
36.1°, d = 2.489 Å, intensity 6, (1 0 3)
40.2°, d = 2.244 Å, intensity 21, (2 0 0)
46.3°, d = 1.959 Å, intensity 5, (2 1 1)
58.1°, d = 1.587 Å, intensity 44, (2 0 4)
69.5°, d = 1.353 Å, intensity 33, (3 1 2)
73.0°, d = 1.296 Å, intensity 5, (2 2 4)

Crystal structure
abc: 4.4896 4.4896 8.9704
angles: 90.00 90.00 90.00
Space group I-42d (No. 122)
One atom of each set of equivalent atoms:
Mn: 0.0000 0.0000 0.0000 [4 per cell]
Al: 0.0000 0.0000 0.5000 [4 per cell]
N: 0.2355 0.7500 0.6250 [8 per cell]

(5)
Simulated X-ray powder pattern of Mn3AlN3 for Cu Kα, 1.54184 Å, from a DFT-relaxed cell (PBE, the Materials Project).
Peak positions follow from Bragg's law for the DFT cell and can differ from measured ones.

Top 8 peaks for 10° ≤ 2θ ≤ 80°, by angle:
15.2°, d = 5.823 Å, intensity 63, (1 0 0)
30.7°, d = 2.911 Å, intensity 38, (2 0 0)
34.1°, d = 2.631 Å, intensity 37, (2 0 -2)
35.8°, d = 2.509 Å, intensity 33, (1 1 -2)
37.0°, d = 2.430 Å, intensity 100, (0 1 2)
38.3°, d = 2.351 Å, intensity 62, (2 1 0)
45.5°, d = 1.994 Å, intensity 89, (0 2 0)
50.3°, d = 1.813 Å, intensity 38, (2 0 2)

Crystal structure
abc: 6.2332 3.9881 6.5629
angles: 90.00 110.91 90.00
Space group P2_1/m (No. 11)
One atom of each set of equivalent atoms:
Mn: 0.1083 0.2500 0.3901 [2 per cell]
Mn: 0.1705 0.2500 0.8725 [2 per cell]
Mn: 0.2743 0.7500 0.1818 [2 per cell]
Al: 0.3728 0.7500 0.6804 [2 per cell]
N: 0.1191 0.7500 0.4149 [2 per cell]
N: 0.2160 0.7500 0.8752 [2 per cell]
N: 0.3096 0.2500 0.2077 [2 per cell]

(6)
Simulated X-ray powder pattern of Mn8Nb3Al for Cu Kα, 1.54184 Å, from a DFT-relaxed cell (PBE, the Materials Project).
Peak positions follow from Bragg's law for the DFT cell and can differ from measured ones.

Top 8 peaks for 10° ≤ 2θ ≤ 80°, by angle:
37.7°, d = 2.386 Å, intensity 43, (1 1 0)
40.7°, d = 2.216 Å, intensity 89, (0 1 3)
44.4°, d = 2.041 Å, intensity 100, (1 1 2)
45.4°, d = 1.998 Å, intensity 80, (0 2 1)
46.1°, d = 1.970 Å, intensity 14, (0 0 4)
70.1°, d = 1.342 Å, intensity 29, (1 2 3)
72.7°, d = 1.300 Å, intensity 21, (3 0 2)
76.0°, d = 1.253 Å, intensity 27, (2 0 5)

Crystal structure
abc: 4.7712 4.7712 7.8783
angles: 90.00 90.00 120.00
Space group P3m1 (No. 156)
One atom of each set of equivalent atoms:
Mn: 0.0000 0.0000 0.0000 [1 per cell]
Mn: 0.0000 0.0000 0.4928 [1 per cell]
Mn: 0.1714 0.3428 0.7401 [3 per cell]
Mn: 0.3471 0.1735 0.2431 [3 per cell]
Nb: 0.3333 0.6667 0.0572 [1 per cell]
Nb: 0.3333 0.6667 0.4350 [1 per cell]
Nb: 0.6667 0.3333 0.9146 [1 per cell]
Al: 0.6667 0.3333 0.5538 [1 per cell]

(7)
Simulated X-ray powder pattern of PaMn2Al for Cu Kα, 1.54184 Å, from a DFT-relaxed cell (PBE, the Materials Project).
Peak positions follow from Bragg's law for the DFT cell and can differ from measured ones.

Top 8 peaks for 10° ≤ 2θ ≤ 80°, by angle:
24.5°, d = 3.636 Å, intensity 72, (1 1 1)
28.3°, d = 3.149 Å, intensity 19, (2 0 0)
40.5°, d = 2.227 Å, intensity 100, (2 2 0)
47.9°, d = 1.899 Å, intensity 38, (3 1 1)
58.6°, d = 1.574 Å, intensity 17, (4 0 0)
64.5°, d = 1.445 Å, intensity 16, (3 3 1)
73.7°, d = 1.286 Å, intensity 34, (4 2 2)
79.0°, d = 1.212 Å, intensity 12, (5 1 1)

Crystal structure
abc: 6.2978 6.2978 6.2978
angles: 90.00 90.00 90.00
Space group Fm-3m (No. 225)
One atom of each set of equivalent atoms:
Pa: 0.0000 0.0000 0.0000 [4 per cell]
Mn: 0.2500 0.2500 0.2500 [8 per cell]
Al: 0.0000 0.0000 0.5000 [4 per cell]

(8)
Simulated X-ray powder pattern of MnAlPd2 for Cu Kα, 1.54184 Å, from a DFT-relaxed cell (PBE, the Materials Project).
Peak positions follow from Bragg's law for the DFT cell and can differ from measured ones.

Top 8 peaks for 10° ≤ 2θ ≤ 80°, by angle:
25.8°, d = 3.450 Å, intensity 16, (0 0 2)
30.5°, d = 2.935 Å, intensity 22, (1 0 0)
40.3°, d = 2.236 Å, intensity 100, (1 0 2)
43.6°, d = 2.075 Å, intensity 41, (1 1 0)
53.1°, d = 1.725 Å, intensity 10, (0 0 4)
63.4°, d = 1.468 Å, intensity 13, (2 0 0)
71.1°, d = 1.327 Å, intensity 16, (1 1 4)
77.9°, d = 1.227 Å, intensity 27, (2 1 2)

Crystal structure
abc: 2.9352 2.9352 6.9004
angles: 90.00 90.00 90.00
Space group P4/mmm (No. 123)
One atom of each set of equivalent atoms:
Mn: 0.0000 0.0000 0.0000 [1 per cell]
Al: 0.0000 0.0000 0.5000 [1 per cell]
Pd: 0.5000 0.5000 0.2661 [2 per cell]

(9)
Simulated X-ray powder pattern of PrMn4Al8 for Cu Kα, 1.54184 Å, from a DFT-relaxed cell (PBE, the Materials Project).
Peak positions follow from Bragg's law for the DFT cell and can differ from measured ones.

Top 8 peaks for 10° ≤ 2θ ≤ 80°, by angle:
14.0°, d = 6.312 Å, intensity 26, (1 1 0)
19.7°, d = 4.502 Å, intensity 28, (1 0 1)
28.2°, d = 3.170 Å, intensity 40, (2 1 1)
28.3°, d = 3.156 Å, intensity 26, (2 2 0)
34.7°, d = 2.584 Å, intensity 30, (3 0 1)
40.1°, d = 2.251 Å, intensity 68, (2 0 2)
40.4°, d = 2.234 Å, intensity 100, (4 0 0)
58.2°, d = 1.585 Å, intensity 24, (4 2 2)

Crystal structure
abc: 8.9270 8.9270 5.2129
angles: 90.00 90.00 90.00
Space group I4/mmm (No. 139)
One atom of each set of equivalent atoms:
Pr: 0.0000 0.0000 0.0000 [2 per cell]
Mn: 0.2500 0.2500 0.2500 [8 per cell]
Al: 0.0000 0.2283 0.5000 [8 per cell]
Al: 0.0000 0.3408 0.0000 [8 per cell]

(10)
Simulated X-ray powder pattern of Pr3MnAlS7 for Cu Kα, 1.54184 Å, from a DFT-relaxed cell (PBE, the Materials Project).
Peak positions follow from Bragg's law for the DFT cell and can differ from measured ones.

Top 8 peaks for 10° ≤ 2θ ≤ 80°, by angle:
17.7°, d = 5.007 Å, intensity 47, (1 0 1)
25.1°, d = 3.554 Å, intensity 100, (2 0 1)
27.0°, d = 3.304 Å, intensity 43, (1 2 0)
34.1°, d = 2.630 Å, intensity 46, (3 0 1)
35.6°, d = 2.523 Å, intensity 38, (2 2 0)
35.9°, d = 2.504 Å, intensity 48, (2 0 2)
40.0°, d = 2.253 Å, intensity 40, (3 1 1)
40.2°, d = 2.243 Å, intensity 35, (1 2 2)

Crystal structure
abc: 10.0930 10.0930 6.1090
angles: 90.00 90.00 120.00
Space group P6_3 (No. 173)
One atom of each set of equivalent atoms:
Pr: 0.1450 0.3763 0.0000 [6 per cell]
Mn: 0.0000 0.0000 0.2759 [2 per cell]
Al: 0.3333 0.6667 0.4215 [2 per cell]
S: 0.0934 0.2380 0.5487 [6 per cell]
S: 0.0991 0.5783 0.2745 [6 per cell]
S: 0.3333 0.6667 0.7865 [2 per cell]

(11)
Simulated X-ray powder pattern of MnAlPt for Cu Kα, 1.54184 Å, from a DFT-relaxed cell (PBE, the Materials Project).
Peak positions follow from Bragg's law for the DFT cell and can differ from measured ones.

Top 8 peaks for 10° ≤ 2θ ≤ 80°, by angle:
28.8°, d = 3.097 Å, intensity 100, (1 0 1)
40.9°, d = 2.207 Å, intensity 53, (1 0 2)
41.6°, d = 2.172 Å, intensity 70, (1 1 0)
51.4°, d = 1.778 Å, intensity 21, (2 0 1)
54.0°, d = 1.699 Å, intensity 24, (1 1 2)
59.7°, d = 1.548 Å, intensity 17, (2 0 2)
68.1°, d = 1.376 Å, intensity 18, (2 1 1)
75.4°, d = 1.261 Å, intensity 17, (2 1 2)

Crystal structure
abc: 4.3448 4.3448 5.4511
angles: 90.00 90.00 120.00
Space group P6_3/mmc (No. 194)
One atom of each set of equivalent atoms:
Mn: 0.0000 0.0000 0.0000 [2 per cell]
Al: 0.3333 0.6667 0.2500 [2 per cell]
Pt: 0.3333 0.6667 0.7500 [2 per cell]